Record 1
# ZrGaCo
Computed PXRD pattern, CuKα. Input: DFT lattice parameters and positions (GGA-PBE).

Structure:
```
data_ZrGaCo
_chemical_formula_sum 'Zr3 Ga3 Co3'
_cell_length_a 6.9778
_cell_length_b 6.9778
_cell_length_c 3.3236
_cell_angle_alpha 90.00
_cell_angle_beta 90.00
_cell_angle_gamma 120.00
_space_group_name_H-M_alt 'P -6 2 m'
_space_group_IT_number 189
_space_group_name_Hall 'P -6 -2'
loop_
_atom_site_label
_atom_site_fract_x
_atom_site_fract_y
_atom_site_fract_z
Zr1 0.0000 0.5982 0.0000
Ga1 0.0000 0.2628 0.5000
Co1 0.0000 0.0000 0.0000
Co2 0.3333 0.6667 0.5000
```

Main lines, in order of rising 2θ (2θ = 10–90°):
37.37°, I 100.0, hkl 1 1 1
39.45°, I 45.8, hkl 2 1 0
40.34°, I 73.0, hkl 2 0 1
45.00°, I 41.5, hkl 3 0 0
48.35°, I 18.9, hkl 2 1 1
55.28°, I 17.9, hkl 0 0 2
62.01°, I 12.7, hkl 3 1 1
70.02°, I 16.0, hkl 2 1 2
73.94°, I 17.5, hkl 3 0 2
74.10°, I 27.6, hkl 3 2 1

Record 2
# Gd4Co3
Computed PXRD pattern, CuKα. Input: DFT lattice parameters and positions (GGA-PBE).

Structure:
```
data_Gd4Co3
_chemical_formula_sum 'Gd12 Co9'
_cell_length_a 11.3278
_cell_length_b 11.3278
_cell_length_c 4.0786
_cell_angle_alpha 90.00
_cell_angle_beta 90.00
_cell_angle_gamma 120.00
_space_group_name_H-M_alt 'P -3'
_space_group_IT_number 147
loop_
_space_group_symop_operation_xyz
'x,y,z'
'-x,-y,-z'
'-y,x-y,z'
'y,-x+y,-z'
'-x+y,-x,z'
'x-y,x,-z'
loop_
_atom_site_label
_atom_site_fract_x
_atom_site_fract_y
_atom_site_fract_z
Gd1 0.0187 0.7766 0.2502
Gd2 0.1349 0.5143 0.2492
Co1 0.0000 0.0000 0.0000
Co2 0.1529 0.7176 0.7537
Co3 0.3333 0.6667 0.7467
```

Main lines, in order of rising 2θ (2θ = 10–90°):
32.64°, I 100.0, hkl 2 1 1
32.92°, I 29.5, hkl 3 1 0
35.18°, I 24.5, hkl 0 3 1
42.21°, I 22.9, hkl 1 4 0
44.42°, I 16.4, hkl 0 0 2
54.36°, I 11.1, hkl 6 -2 1
56.38°, I 10.6, hkl 4 -3 2
62.95°, I 10.8, hkl 5 -1 2
63.46°, I 19.9, hkl 5 2 1
74.31°, I 9.2, hkl 3 -2 3

Record 3
# Gd3Co4Ge13
Computed PXRD pattern, CuKα. Input: DFT lattice parameters and positions (GGA-PBE).

Structure:
```
data_Gd3Co4Ge13
_chemical_formula_sum 'Gd6 Co8 Ge26'
_cell_length_a 8.7805
_cell_length_b 8.7805
_cell_length_c 8.7805
_cell_angle_alpha 90.00
_cell_angle_beta 90.00
_cell_angle_gamma 90.00
_space_group_name_H-M_alt 'P m -3 n'
_space_group_IT_number 223
_space_group_name_Hall '-P 4n 2 3'
loop_
_atom_site_label
_atom_site_fract_x
_atom_site_fract_y
_atom_site_fract_z
Gd1 0.0000 0.2500 0.5000
Co1 0.2500 0.2500 0.2500
Ge1 0.0000 0.0000 0.0000
Ge2 0.0000 0.3057 0.1529
```

Main lines, in order of rising 2θ (2θ = 10–90°):
22.64°, I 12.1, hkl 2 1 0
36.91°, I 100.0, hkl 3 2 0
38.36°, I 38.6, hkl 3 2 1
41.12°, I 23.5, hkl 4 0 0
42.45°, I 9.6, hkl 4 1 0
50.95°, I 9.6, hkl 4 2 2
61.59°, I 11.6, hkl 4 3 3
65.53°, I 14.4, hkl 5 3 2
71.24°, I 14.0, hkl 6 2 2
79.46°, I 9.5, hkl 6 4 1

Record 4
# Gd3Co2Ge4
Computed PXRD pattern, CuKα. Input: DFT lattice parameters and positions (GGA-PBE).

Structure:
```
data_Gd3Co2Ge4
_chemical_formula_sum 'Gd6 Co4 Ge8'
_cell_length_a 10.7626
_cell_length_b 4.1991
_cell_length_c 8.0816
_cell_angle_alpha 90.00
_cell_angle_beta 107.60
_cell_angle_gamma 90.00
_space_group_name_H-M_alt 'C 1 2/m 1'
_space_group_IT_number 12
loop_
_space_group_symop_operation_xyz
'x,y,z'
'-x,-y,-z'
'-x,y,-z'
'x,-y,z'
'x+1/2,y+1/2,z'
'-x+1/2,-y+1/2,-z'
'-x+1/2,y+1/2,-z'
'x+1/2,-y+1/2,z'
loop_
_atom_site_label
_atom_site_fract_x
_atom_site_fract_y
_atom_site_fract_z
Gd1 0.0000 0.0000 0.0000
Gd2 0.1226 0.5000 0.6920
Co1 0.1927 0.5000 0.3733
Ge1 0.1010 0.0000 0.4004
Ge2 0.2110 0.5000 0.0804
```

Main lines, in order of rising 2θ (2θ = 10–90°):
24.45°, I 39.7, hkl 1 1 -1
33.05°, I 94.6, hkl 3 1 -1
33.80°, I 88.8, hkl 3 1 0
33.99°, I 40.8, hkl 2 0 -3
34.61°, I 100.0, hkl 1 1 2
34.95°, I 53.2, hkl 0 0 3
40.28°, I 29.3, hkl 4 0 1
42.90°, I 58.2, hkl 3 1 -3
43.08°, I 64.8, hkl 0 2 0
64.76°, I 26.6, hkl 7 1 -2

Record 5
# GdCo2Ge2
Computed PXRD pattern, CuKα. Input: DFT lattice parameters and positions (GGA-PBE).

Structure:
```
data_GdCo2Ge2
_chemical_formula_sum 'Gd2 Co4 Ge4'
_cell_length_a 3.9845
_cell_length_b 3.9845
_cell_length_c 10.1813
_cell_angle_alpha 90.00
_cell_angle_beta 90.00
_cell_angle_gamma 90.00
_space_group_name_H-M_alt 'I 4/m m m'
_space_group_IT_number 139
_space_group_name_Hall '-I 4 2'
loop_
_atom_site_label
_atom_site_fract_x
_atom_site_fract_y
_atom_site_fract_z
Gd1 0.0000 0.0000 0.0000
Co1 0.0000 0.5000 0.2500
Ge1 0.0000 0.0000 0.3709
```

Main lines, in order of rising 2θ (2θ = 10–90°):
31.76°, I 28.5, hkl 1 1 0
34.72°, I 100.0, hkl 1 0 3
36.45°, I 88.9, hkl 1 1 2
45.53°, I 58.9, hkl 2 0 0
50.32°, I 29.2, hkl 1 0 5
58.50°, I 44.0, hkl 2 1 3
64.06°, I 20.2, hkl 1 1 6
66.36°, I 18.4, hkl 2 2 0
70.18°, I 21.3, hkl 2 1 5
78.14°, I 18.0, hkl 3 1 2

Record 6
# Gd2Co2I
Computed PXRD pattern, CuKα. Input: DFT lattice parameters and positions (GGA-PBE).

Structure:
```
data_Gd2Co2I
_chemical_formula_sum 'Gd4 Co4 I2'
_cell_length_a 3.9692
_cell_length_b 3.9692
_cell_length_c 17.2211
_cell_angle_alpha 90.00
_cell_angle_beta 90.00
_cell_angle_gamma 120.00
_space_group_name_H-M_alt 'P 63/m m c'
_space_group_IT_number 194
_space_group_name_Hall '-P 6c 2c'
loop_
_atom_site_label
_atom_site_fract_x
_atom_site_fract_y
_atom_site_fract_z
Gd1 0.0000 0.0000 0.1034
Co1 0.3333 0.6667 0.0016
I1 0.3333 0.6667 0.7500
```

Main lines, in order of rising 2θ (2θ = 10–90°):
10.27°, I 12.3, hkl 0 0 2
25.92°, I 21.2, hkl 1 0 0
26.44°, I 14.0, hkl 1 0 1
33.36°, I 100.0, hkl 1 0 4
40.96°, I 18.9, hkl 1 0 6
45.72°, I 42.3, hkl 1 1 0
57.76°, I 20.4, hkl 2 0 4
60.10°, I 12.6, hkl 1 0 10
63.79°, I 14.9, hkl 1 1 8
76.60°, I 17.6, hkl 2 1 4

Record 7
# GdCo10Mo2
Computed PXRD pattern, CuKα. Input: DFT lattice parameters and positions (GGA-PBE).

Structure:
```
data_GdCo10Mo2
_chemical_formula_sum 'Gd2 Co20 Mo4'
_cell_length_a 4.6999
_cell_length_b 8.4857
_cell_length_c 8.4952
_cell_angle_alpha 90.00
_cell_angle_beta 90.00
_cell_angle_gamma 90.00
_space_group_name_H-M_alt 'I m m m'
_space_group_IT_number 71
_space_group_name_Hall '-I 2 2'
loop_
_atom_site_label
_atom_site_fract_x
_atom_site_fract_y
_atom_site_fract_z
Gd1 0.0000 0.0000 0.0000
Co1 0.0000 0.0000 0.3592
Co2 0.0000 0.2797 0.5000
Co3 0.0000 0.5000 0.2876
Co4 0.2500 0.2500 0.2500
Mo1 0.0000 0.3581 0.0000
```

Main lines, in order of rising 2θ (2θ = 10–90°):
37.08°, I 61.9, hkl 1 0 3
38.30°, I 19.3, hkl 2 0 0
42.59°, I 49.1, hkl 0 0 4
42.96°, I 100.0, hkl 1 3 2
44.04°, I 67.1, hkl 2 0 2
47.92°, I 15.7, hkl 0 4 2
49.24°, I 23.1, hkl 2 2 2
72.46°, I 19.8, hkl 3 3 2
78.22°, I 19.7, hkl 1 6 3
78.98°, I 20.7, hkl 2 0 6

Record 8
# Gd12Co6Pb
Computed PXRD pattern, CuKα. Input: DFT lattice parameters and positions (GGA-PBE).

Structure:
```
data_Gd12Co6Pb
_chemical_formula_sum 'Gd24 Co12 Pb2'
_cell_length_a 9.8345
_cell_length_b 9.8345
_cell_length_c 9.8345
_cell_angle_alpha 90.00
_cell_angle_beta 90.00
_cell_angle_gamma 90.00
_space_group_name_H-M_alt 'I m -3'
_space_group_IT_number 204
_space_group_name_Hall '-I 2 2 3'
loop_
_atom_site_label
_atom_site_fract_x
_atom_site_fract_y
_atom_site_fract_z
Gd1 0.0000 0.3063 0.1930
Co1 0.0000 0.1131 0.5000
Pb1 0.0000 0.0000 0.0000
```

Main lines, in order of rising 2θ (2θ = 10–90°):
28.71°, I 48.9, hkl 3 0 1
31.51°, I 52.7, hkl 2 2 2
34.11°, I 100.0, hkl 3 1 2
36.55°, I 19.5, hkl 4 0 0
47.12°, I 26.4, hkl 5 0 1
54.40°, I 35.7, hkl 5 3 0
57.79°, I 39.2, hkl 5 2 3
67.32°, I 20.4, hkl 5 3 4
83.39°, I 17.8, hkl 8 2 2
84.80°, I 17.5, hkl 7 0 5